(1)
Simulated XRD peak list
Compound: UCdI6
Radiation: Cu Kα (weighted mean of Kα1 and Kα2)
Structure: the PBE geometry in Alexandria
Lines closer than 0.1° are merged.

Largest 10 diffraction maxima, low angle first, 2θ from 5° to 70°:
2θ (°), I (rel.)
12.84, 100
25.48, 74
25.57, 21
33.29, 29
33.39, 28
35.82, 15
39.21, 39
42.62, 13
43.71, 13
47.35, 13

Structure:
abc: 7.9627 7.9627 7.2872
angles: 90.13 90.13 120.07
Fractional coordinates of all 8 atoms:
1 U 0.0000 0.0000 0.0000
2 Cd 0.0000 0.0000 0.5000
3 I 0.0008 0.6963 0.2477
4 I 0.3037 0.9992 0.7523
5 I 0.3046 0.3046 0.2497
6 I 0.6954 0.6954 0.7503
7 I 0.6963 0.0008 0.2477
8 I 0.9992 0.3037 0.7523

***

(2)
Simulated XRD peak list
Compound: YCd2I6
Radiation: Cu Kα (weighted mean of Kα1 and Kα2)
Structure: the PBE geometry in Alexandria
Lines closer than 0.1° are merged.

Largest 10 diffraction maxima, low angle first, 2θ from 5° to 70°:
2θ (°), I (rel.)
11.48, 9
13.39, 17
23.07, 33
25.16, 100
32.33, 15
39.15, 35
41.82, 24
45.94, 24
47.12, 19
62.88, 19

Structure:
abc: 8.9791 8.9791 8.9791
angles: 52.69 52.69 52.69
Fractional coordinates of all 9 atoms:
1 Y 0.0000 0.0000 0.0000
2 Cd 0.2714 0.2714 0.2714
3 Cd 0.3943 0.3943 0.3943
4 I 0.0769 0.3872 0.7838
5 I 0.2245 0.9096 0.6198
6 I 0.3872 0.7838 0.0769
7 I 0.6198 0.2245 0.9096
8 I 0.7838 0.0769 0.3872
9 I 0.9096 0.6198 0.2245

***

(3)
Simulated XRD peak list
Compound: Zn2CdI6
Radiation: Cu Kα (weighted mean of Kα1 and Kα2)
Structure: the PBE geometry in Alexandria
Lines closer than 0.1° are merged.

Largest 10 diffraction maxima, low angle first, 2θ from 5° to 70°:
2θ (°), I (rel.)
11.72, 70
23.56, 18
25.95, 33
29.25, 100
29.44, 49
40.56, 18
40.66, 18
43.32, 34
43.46, 18
53.37, 18

Structure:
abc: 4.1645 9.0147 9.8277
angles: 108.23 102.13 90.18
Fractional coordinates of all 9 atoms:
1 Zn 0.1683 0.3347 0.3393
2 Zn 0.8317 0.6653 0.6607
3 Cd 0.5000 0.0000 0.0000
4 I 0.0120 0.2468 0.0216
5 I 0.3250 0.4378 0.6513
6 I 0.3354 0.8901 0.6685
7 I 0.6646 0.1099 0.3315
8 I 0.6750 0.5622 0.3487
9 I 0.9880 0.7532 0.9784

***

(4)
Simulated XRD peak list
Compound: Cd11In4
Radiation: Cu Kα (weighted mean of Kα1 and Kα2)
Structure: the PBE geometry in Alexandria
Lines closer than 0.1° are merged.

Largest 10 diffraction maxima, low angle first, 2θ from 5° to 70°:
2θ (°), I (rel.)
31.48, 21
32.63, 99
33.61, 39
35.34, 33
36.25, 69
36.36, 100
37.25, 58
57.54, 23
59.27, 23
59.45, 30

Structure:
abc: 11.3137 11.3137 5.6839
angles: 90.00 90.00 90.00
Fractional coordinates of all 30 atoms:
1 Cd 0.0000 0.0000 0.0000
2 Cd 0.0689 0.2614 0.0000
3 Cd 0.0948 0.0948 0.5000
4 Cd 0.1801 0.8199 0.2510
5 Cd 0.1801 0.8199 0.7490
6 Cd 0.2386 0.5689 0.5000
7 Cd 0.2614 0.0689 0.0000
8 Cd 0.3199 0.3199 0.2490
9 Cd 0.3199 0.3199 0.7510
10 Cd 0.4052 0.5948 0.0000
11 Cd 0.4311 0.7614 0.5000
12 Cd 0.5000 0.5000 0.5000
13 Cd 0.5689 0.2386 0.5000
14 Cd 0.5948 0.4052 0.0000
15 Cd 0.6801 0.6801 0.2490
16 Cd 0.6801 0.6801 0.7510
17 Cd 0.7386 0.9311 0.0000
18 Cd 0.7614 0.4311 0.5000
19 Cd 0.8199 0.1801 0.2510
20 Cd 0.8199 0.1801 0.7490
21 Cd 0.9052 0.9052 0.5000
22 Cd 0.9311 0.7386 0.0000
23 In 0.0414 0.3666 0.5000
24 In 0.1334 0.5414 0.0000
25 In 0.3666 0.0414 0.5000
26 In 0.4586 0.8666 0.0000
27 In 0.5414 0.1334 0.0000
28 In 0.6334 0.9586 0.5000
29 In 0.8666 0.4586 0.0000
30 In 0.9586 0.6334 0.5000